Computed X-ray diffraction stick pattern of Pm2Ni3P4Pd for Cu Kα (λ = 1.5418 Å), from the PBE geometry in Alexandria.

Structural model:
```
data_Pm2Ni3P4Pd
_cell_length_a 4.101
_cell_length_b 4.101
_cell_length_c 9.253
_cell_angle_alpha 90.00
_cell_angle_beta 90.00
_cell_angle_gamma 90.00
_symmetry_space_group_name_H-M 'P -4 m 2'
_symmetry_Int_Tables_number 115
loop_
_symmetry_equiv_pos_as_xyz
'x,y,z'
'y,-x,-z'
'-x,-y,z'
'-y,x,-z'
'-x,y,z'
'-y,-x,-z'
'x,-y,z'
'y,x,-z'
loop_
_atom_site_label
_atom_site_fract_x
_atom_site_fract_y
_atom_site_fract_z
Pm1 0.000 0.500 0.241
Ni1 0.000 0.500 0.889
Ni2 0.500 0.500 0.500
P1 0.000 0.000 0.000
P2 0.000 0.500 0.640
P3 0.500 0.500 0.000
Pd1 0.000 0.000 0.500
```

Top 8 peaks for 10 to 90 degrees two-theta, in order of falling intensity:
2θ (°)	d (Å)	I (rel.)	index
36.57	2.457	100	1 1 2
36.45	2.465	72	1 0 3
44.16	2.051	57	2 0 0
58.55	1.576	35	2 1 3
23.73	3.750	31	1 0 1
76.22	1.249	31	3 1 2
32.35	2.767	19	1 1 1
30.83	2.900	19	1 1 0

=====

Computed X-ray diffraction stick pattern of Ta4Tc3Os for Cu Kα (λ = 1.5418 Å), from the PBE geometry in Alexandria.

Structural model:
```
data_Ta4Tc3Os
_cell_length_a 3.188
_cell_length_b 4.507
_cell_length_c 9.006
_cell_angle_alpha 90.00
_cell_angle_beta 90.00
_cell_angle_gamma 90.00
_symmetry_space_group_name_H-M 'P m m m'
_symmetry_Int_Tables_number 47
loop_
_symmetry_equiv_pos_as_xyz
'x,y,z'
'-x,-y,-z'
'-x,-y,z'
'x,y,-z'
'x,-y,-z'
'-x,y,z'
'-x,y,-z'
'x,-y,z'
loop_
_atom_site_label
_atom_site_fract_x
_atom_site_fract_y
_atom_site_fract_z
Ta1 0.000 0.000 0.000
Ta2 0.000 0.000 0.500
Ta3 0.000 0.500 0.247
Tc1 0.500 0.000 0.252
Tc2 0.500 0.500 0.000
Os1 0.500 0.500 0.500
```

Top 8 peaks for 10 to 90 degrees two-theta, in order of falling intensity:
2θ (°)	d (Å)	I (rel.)	index
40.02	2.253	100	1 1 2
72.69	1.301	35	2 2 0
57.88	1.593	17	2 0 0
86.36	1.127	11	0 4 0
28.00	3.186	4	1 0 0
65.50	1.425	2	2 1 2
49.55	1.840	1	1 2 0
19.71	4.505	1	0 0 2

=====

Computed X-ray diffraction stick pattern of AcPrEu for Cu Kα (λ = 1.5418 Å), from the PBE geometry in Alexandria.

Structural model:
```
data_AcPrEu
_cell_length_a 3.893
_cell_length_b 3.893
_cell_length_c 16.193
_cell_angle_alpha 90.00
_cell_angle_beta 90.00
_cell_angle_gamma 90.00
_symmetry_space_group_name_H-M 'I 4 m m'
_symmetry_Int_Tables_number 107
_symmetry_space_group_name_Hall 'I 4 -2'
loop_
_atom_site_label
_atom_site_fract_x
_atom_site_fract_y
_atom_site_fract_z
Ac1 0.000 0.000 0.000
Pr1 0.000 0.000 0.342
Eu1 0.000 0.000 0.677
```

Top 8 peaks for 10 to 90 degrees two-theta, in order of falling intensity:
2θ (°)	d (Å)	I (rel.)	index
28.26	3.158	100	1 0 3
32.52	2.753	35	1 1 0
55.45	1.657	31	2 1 3
47.16	1.927	24	1 1 6
33.20	2.699	16	0 0 6
56.33	1.633	14	1 0 9
46.66	1.947	13	2 0 0
58.46	1.579	13	2 0 6

=====

Computed X-ray diffraction stick pattern of Pm4Nd2Ho5 for Cu Kα (λ = 1.5418 Å), from the PBE geometry in Alexandria.

Structural model:
```
data_Pm4Nd2Ho5
_cell_length_a 11.187
_cell_length_b 7.470
_cell_length_c 9.278
_cell_angle_alpha 90.00
_cell_angle_beta 107.33
_cell_angle_gamma 90.00
_symmetry_space_group_name_H-M 'C 1 2/m 1'
_symmetry_Int_Tables_number 12
loop_
_symmetry_equiv_pos_as_xyz
'x,y,z'
'-x,-y,-z'
'-x,y,-z'
'x,-y,z'
'x+1/2,y+1/2,z'
'-x+1/2,-y+1/2,-z'
'-x+1/2,y+1/2,-z'
'x+1/2,-y+1/2,z'
loop_
_atom_site_label
_atom_site_fract_x
_atom_site_fract_y
_atom_site_fract_z
Pm1 0.176 0.000 0.125
Pm2 0.182 0.000 0.498
Nd1 0.144 0.500 0.127
Ho1 0.000 0.500 0.500
Ho2 0.067 0.219 0.779
```

Top 8 peaks for 10 to 90 degrees two-theta, in order of falling intensity:
2θ (°)	d (Å)	I (rel.)	index
32.57	2.749	100	2 2 1
32.03	2.794	66	4 0 -1
31.33	2.855	55	0 2 2
29.19	3.060	52	2 2 0
30.27	2.952	43	0 0 3
29.63	3.015	30	3 1 -2
57.34	1.607	18	6 2 0
29.80	2.998	18	2 0 2